The following is a simulated powder X-ray diffraction pattern of Li2FeCuC6N6. It was derived from DFT lattice parameters and positions (PBE), using Cu Kα (weighted mean of Kα1 and Kα2).
Lines closer than 0.1° are merged.

Principal peaks in the range 2θ from 10° to 90°, low angle first:
| index | 2theta | intensity |
| --- | --- | --- |
| 2 0 0 | 17.3 | 100 |
| 2 2 0 | 24.6 | 30 |
| 4 0 0 | 35.1 | 28 |
| 4 2 0 | 39.4 | 25 |
| 4 2 2 | 43.3 | 6 |
| 4 4 0 | 50.4 | 12 |
| 6 0 0 | 53.7 | 11 |
| 6 2 0 | 56.9 | 12 |
| 6 4 0 | 65.8 | 8 |
| 6 4 2 | 68.6 | 8 |
| 6 4 4 | 76.8 | 5 |
| 6 6 0 | 79.4 | 4 |

Structural model:
Unit cell a=10.237 b=10.237 c=10.237 alpha=90.00 beta=90.00 gamma=90.00
Space group Fm-3m (No. 225)
Inequivalent atoms, fractional coordinates:
Li 0.250 0.250 0.250
Fe 0.000 0.000 0.000
Cu 0.000 0.000 0.500
C 0.000 0.000 0.182
N 0.000 0.000 0.298

The following is a simulated powder X-ray diffraction pattern of FeCuC6N8. It was derived from DFT lattice parameters and positions (PBE), using Cu Kα (weighted mean of Kα1 and Kα2).
Lines closer than 0.1° are merged.

Principal peaks in the range 2θ from 10° to 90°, low angle first:
| index | 2theta | intensity |
| --- | --- | --- |
| 2 0 0 | 17.4 | 100 |
| 2 2 0 | 24.7 | 52 |
| 4 0 0 | 35.2 | 40 |
| 4 2 0 | 39.5 | 25 |
| 4 2 2 | 43.5 | 11 |
| 4 4 0 | 50.6 | 17 |
| 6 0 0 | 54.0 | 12 |
| 6 2 0 | 57.1 | 17 |
| 6 4 0 | 66.1 | 10 |
| 6 4 2 | 68.9 | 12 |
| 6 4 4 | 77.1 | 5 |
| 6 6 0 | 79.8 | 5 |

Structural model:
Unit cell a=10.196 b=10.196 c=10.196 alpha=90.00 beta=90.00 gamma=90.00
Space group Fm-3m (No. 225)
Inequivalent atoms, fractional coordinates:
Fe 0.000 0.000 0.000
Cu 0.000 0.000 0.500
C 0.000 0.000 0.187
N 0.000 0.000 0.301
N 0.250 0.250 0.250

The following is a simulated powder X-ray diffraction pattern of Na2FeCuC6N6. It was derived from DFT lattice parameters and positions (PBE), using Cu Kα (weighted mean of Kα1 and Kα2).
Lines closer than 0.1° are merged.

Principal peaks in the range 2θ from 10° to 90°, low angle first:
| index | 2theta | intensity |
| --- | --- | --- |
| 1 0 0 | 12.6 | 100 |
| 0 1 1 | 19.4 | 81 |
| 1 1 -1 | 20.8 | 62 |
| 2 0 -1 | 24.1 | 11 |
| 2 0 0 | 25.4 | 70 |
| 2 1 -1 | 28.6 | 19 |
| 2 1 1 | 35.3 | 14 |
| 1 2 -2 | 38.7 | 15 |
| 0 2 2 | 39.3 | 31 |
| 2 2 -2 | 42.3 | 13 |
| 4 0 0 | 52.1 | 16 |
| 1 3 -3 | 59.1 | 14 |

Structural model:
Unit cell a=7.469 b=5.838 c=7.877 alpha=90.00 beta=109.97 gamma=90.00
Space group P2/m (No. 10)
Inequivalent atoms, fractional coordinates:
Na 0.000 0.000 0.000
Na 0.000 0.000 0.500
Fe 0.500 0.500 0.000
Cu 0.500 0.000 0.500
C 0.235 0.500 0.881
C 0.475 0.300 0.176
N 0.069 0.500 0.799
N 0.460 0.218 0.308